For BaAc2In3Pd6, a cell relaxed with PBE gives the theoretical X-ray powder pattern in this record (CuKα).

Cell lengths 4.527, 4.527, 14.787 Å; angles 90.00, 90.00, 90.00 degrees
Space group P4/mmm (No. 123)
One atom of each set of equivalent atoms:
Ba 0.000 0.000 0.000 [1 per cell]
Ac 0.000 0.000 0.347 [2 per cell]
In 0.500 0.500 0.105 [2 per cell]
In 0.500 0.500 0.500 [1 per cell]
Pd 0.000 0.500 0.203 [4 per cell]
Pd 0.500 0.500 0.321 [2 per cell]

Main lines, in order of rising 2θ (2θ = 10–90°):
h k l  Position (°2θ)  d (Å)  Rel. int.
0 0 2  11.97  7.394  42
1 0 3  26.74  3.334  68
1 1 0  27.87  3.201  50
1 1 3  33.38  2.685  100
2 0 0  39.83  2.263  95
1 1 5  41.57  2.172  50

For Sm4Dy2Th3, a cell relaxed with PBE gives the theoretical X-ray powder pattern in this record (CuKα).

Cell lengths 3.5774, 3.5774, 26.8531 Å; angles 90.00, 90.00, 120.00 degrees
Space group P3m1 (No. 156)
One atom of each set of equivalent atoms:
Sm 0.0000 0.0000 0.0000 [1 per cell]
Sm 0.0000 0.0000 0.2181 [1 per cell]
Sm 0.3333 0.6667 0.3309 [1 per cell]
Sm 0.3333 0.6667 0.5509 [1 per cell]
Dy 0.0000 0.0000 0.6598 [1 per cell]
Dy 0.0000 0.0000 0.8744 [1 per cell]
Th 0.0000 0.0000 0.4406 [1 per cell]
Th 0.3333 0.6667 0.1076 [1 per cell]
Th 0.3333 0.6667 0.7694 [1 per cell]

Main lines, in order of rising 2θ (2θ = 10–90°):
h k l  Position (°2θ)  d (Å)  Rel. int.
1 0 0  28.82  3.098  49
0 0 9  29.95  2.984  56
1 0 4  31.81  2.813  76
0 1 5  33.39  2.684  100
1 1 0  51.06  1.789  40
1 1 9  60.33  1.534  47